# 1
Simulated XRD peak list of KInB2F8 for Cu Kα (weighted mean of Kα1 and Kα2), from DFT lattice parameters and positions (GGA-PBE).

Largest 10 diffraction maxima, sorted by position, 2θ = 10–90°:
10.33°, d = 8.567 Å, I = 48; 19.34°, d = 4.590 Å, I = 64; 21.97°, d = 4.046 Å, I = 57; 28.50°, d = 3.132 Å, I = 100; 33.82°, d = 2.650 Å, I = 36; 35.46°, d = 2.532 Å, I = 43; 40.01°, d = 2.254 Å, I = 62; 44.80°, d = 2.023 Å, I = 29; 46.80°, d = 1.941 Å, I = 28; 57.30°, d = 1.608 Å, I = 20

Structural model:
```
KInB2F8
1.0
5.300 0.000 0.000
-2.650 4.590 0.000
0.000 0.000 8.567
K In B F
1 1 2 8
Cartesian
0.000 0.000 0.000
0.000 0.000 4.283
0.000 3.060 2.310
2.650 1.530 6.257
-0.526 1.830 1.839
-0.803 4.130 1.839
0.000 3.060 3.729
1.322 1.370 6.727
1.328 3.220 1.839
2.650 1.530 4.837
3.453 0.460 6.727
3.176 2.760 6.727
```

***

# 2
Simulated XRD peak list of NiSnBi3 for Cu Kα (weighted mean of Kα1 and Kα2), from DFT lattice parameters and positions (GGA-PBE).

Largest 10 diffraction maxima, sorted by position, 2θ = 10–90°:
27.28°, d = 3.270 Å, I = 77; 28.54°, d = 3.128 Å, I = 100; 31.26°, d = 2.861 Å, I = 34; 31.55°, d = 2.835 Å, I = 66; 33.27°, d = 2.693 Å, I = 86; 34.40°, d = 2.607 Å, I = 78; 37.17°, d = 2.419 Å, I = 40; 38.93°, d = 2.314 Å, I = 49; 39.89°, d = 2.260 Å, I = 52; 70.70°, d = 1.332 Å, I = 25

Structural model:
```
NiSnBi3
1.0
6.927 -6.540 0.000
6.927 6.540 0.000
-2.812 0.000 5.910
Ni Sn Bi
4 4 12
Cartesian
4.818 4.883 4.433
6.224 1.678 1.478
4.818 -1.678 4.433
6.224 -4.883 1.478
3.083 2.815 4.901
6.553 2.815 3.965
4.489 -2.815 1.945
7.959 -2.815 1.010
4.242 3.714 1.812
1.591 0.479 0.268
0.185 -0.479 3.223
3.933 0.472 2.748
8.206 3.714 1.143
2.526 -0.472 5.703
8.515 0.472 0.207
2.835 -3.714 4.767
7.109 -0.472 3.162
10.857 0.479 2.687
9.451 -0.479 5.642
6.800 -3.714 4.099
```

***

# 3
Simulated XRD peak list of PuCdO for Cu Kα (weighted mean of Kα1 and Kα2), from DFT lattice parameters and positions (GGA-PBE).

Largest 10 diffraction maxima, sorted by position, 2θ = 10–90°:
26.42°, d = 3.374 Å, I = 18; 27.29°, d = 3.268 Å, I = 84; 30.50°, d = 2.931 Å, I = 87; 33.83°, d = 2.650 Å, I = 100; 35.48°, d = 2.530 Å, I = 29; 47.03°, d = 1.932 Å, I = 51; 50.12°, d = 1.820 Å, I = 33; 59.19°, d = 1.561 Å, I = 21; 60.27°, d = 1.536 Å, I = 37; 78.83°, d = 1.214 Å, I = 18

Structural model:
```
PuCdO
1.0
1.932 1.115 10.121
-1.932 1.115 10.121
0.000 -2.231 10.121
Pu Cd O
2 2 2
Cartesian
0.000 0.000 6.496
0.000 0.000 23.867
0.000 0.000 11.138
0.000 0.000 19.226
0.000 0.000 4.146
0.000 0.000 26.218
```

***

Which formula does entry 3 have? PuCdO

***

Please write out number 2 again, unchanged.
Simulated XRD peak list of NiSnBi3 for Cu Kα (weighted mean of Kα1 and Kα2), from DFT lattice parameters and positions (GGA-PBE).

Largest 10 diffraction maxima, sorted by position, 2θ = 10–90°:
27.28°, d = 3.270 Å, I = 77; 28.54°, d = 3.128 Å, I = 100; 31.26°, d = 2.861 Å, I = 34; 31.55°, d = 2.835 Å, I = 66; 33.27°, d = 2.693 Å, I = 86; 34.40°, d = 2.607 Å, I = 78; 37.17°, d = 2.419 Å, I = 40; 38.93°, d = 2.314 Å, I = 49; 39.89°, d = 2.260 Å, I = 52; 70.70°, d = 1.332 Å, I = 25

Structural model:
```
NiSnBi3
1.0
6.927 -6.540 0.000
6.927 6.540 0.000
-2.812 0.000 5.910
Ni Sn Bi
4 4 12
Cartesian
4.818 4.883 4.433
6.224 1.678 1.478
4.818 -1.678 4.433
6.224 -4.883 1.478
3.083 2.815 4.901
6.553 2.815 3.965
4.489 -2.815 1.945
7.959 -2.815 1.010
4.242 3.714 1.812
1.591 0.479 0.268
0.185 -0.479 3.223
3.933 0.472 2.748
8.206 3.714 1.143
2.526 -0.472 5.703
8.515 0.472 0.207
2.835 -3.714 4.767
7.109 -0.472 3.162
10.857 0.479 2.687
9.451 -0.479 5.642
6.800 -3.714 4.099
```